# SrCd2PdO4
Calculated X-ray powder pattern, Cu Kα. Input: a structure optimized by DFT (PBE).
Kinematic intensities with the Lorentz-polarization factor, no thermal factor.

Cell: 3.300 11.996 12.005 Å, 90.00 90.00 90.00°
Space group Cmcm (No. 63)
Symmetry-distinct sites (fractional):
1 Sr 0.000 0.150 0.250
2 Cd 0.000 0.371 0.035
3 Pd 0.000 0.111 0.750
4 O 0.000 0.000 0.000
5 O 0.000 0.251 0.621
6 O 0.000 0.494 0.250

Most intense lines, 2θ = 5–70°, by angle:
two_theta	I (rel.)
29.78	100
31.83	88
38.41	93
42.62	33
49.35	28
55.72	23

=====

# PmCdPt2O8
Calculated X-ray powder pattern, Cu Kα. Input: a structure optimized by DFT (PBE).
Kinematic intensities with the Lorentz-polarization factor, no thermal factor.

Cell: 5.9217 5.9217 6.7681 Å, 90.00 90.00 120.00°
Space group P-3 (No. 147)
Symmetry-distinct sites (fractional):
1 Pm 0.0000 0.0000 0.0000
2 Cd 0.0000 0.0000 0.5000
3 Pt 0.3333 0.6667 0.9563
4 O 0.0693 0.3953 0.1321
5 O 0.3333 0.6667 0.6868

Most intense lines, 2θ = 5–70°, by angle:
two_theta	I (rel.)
13.08	100
21.74	30
26.34	29
30.18	81
33.02	42
40.48	59

=====

# PmCdPtO6
Calculated X-ray powder pattern, Cu Kα. Input: a structure optimized by DFT (PBE).
Kinematic intensities with the Lorentz-polarization factor, no thermal factor.

Cell: 5.7620 5.7620 8.5976 Å, 90.00 90.00 120.00°
Space group P-31c (No. 163)
Symmetry-distinct sites (fractional):
1 Pm 0.3333 0.6667 0.2500
2 Cd 0.0000 0.0000 0.0000
3 Pt 0.3333 0.6667 0.7500
4 O 0.0482 0.3839 0.6230

Most intense lines, 2θ = 5–70°, by angle:
two_theta	I (rel.)
27.38	100
31.04	74
37.58	31
41.86	32
53.02	32
53.16	48

=====

# Pm2CdTcO8
Calculated X-ray powder pattern, Cu Kα. Input: a structure optimized by DFT (PBE).
Kinematic intensities with the Lorentz-polarization factor, no thermal factor.

Cell: 4.661 5.062 7.266 Å, 93.42 91.54 94.27°
Space group P-1 (No. 2)
Symmetry-distinct sites (fractional):
1 Pm 0.095 0.018 0.256
2 Cd 0.500 0.500 0.000
3 Tc 0.500 0.500 0.500
4 O 0.186 0.264 0.546
5 O 0.209 0.174 0.976
6 O 0.299 0.604 0.277
7 O 0.358 0.771 0.653

Most intense lines, 2θ = 5–70°, by angle:
two_theta	I (rel.)
25.06	100
27.08	61
29.45	63
30.81	40
31.28	46
31.78	40

=====

# PmCdTe2O8
Calculated X-ray powder pattern, Cu Kα. Input: a structure optimized by DFT (PBE).
Kinematic intensities with the Lorentz-polarization factor, no thermal factor.

Cell: 7.496 7.496 6.848 Å, 90.00 90.00 90.00°
Space group I-4m2 (No. 119)
Symmetry-distinct sites (fractional):
1 Pm 0.000 0.000 0.000
2 Cd 0.000 0.500 0.250
3 Te 0.000 0.000 0.500
4 Te 0.000 0.500 0.750
5 O 0.000 0.185 0.311
6 O 0.000 0.313 0.934

Most intense lines, 2θ = 5–70°, by angle:
two_theta	I (rel.)
23.74	100
31.09	79
33.82	25
46.60	65
48.58	16
58.81	19